# 1
# Ba2LiMn2P4O14
Calculated X-ray diffraction stick pattern, Cu Ka. Input: a structure optimized by DFT (PBE+U).

Top 12 peaks for 2θ from 10° to 90°, low angle first:
d_spacing, 2theta, I/Imax, hkl
8.361, 10.58, 39, 0 0 1
4.567, 19.44, 29, 1 0 -1
4.340, 20.46, 56, 1 -1 1
4.180, 21.25, 100, 0 0 2
3.546, 25.11, 43, 0 2 -2
3.463, 25.73, 32, 1 1 -2
3.227, 27.64, 64, 1 -2 1
3.127, 28.55, 51, 1 2 -1
3.085, 28.94, 39, 0 1 2
2.923, 30.58, 28, 1 2 0
2.696, 33.23, 31, 2 0 0
2.577, 34.81, 32, -1 2 1

Crystal structure
```
data_Ba2LiMn2P4O14
_cell_length_a 5.397
_cell_length_b 7.863
_cell_length_c 9.214
_cell_angle_alpha 114.84
_cell_angle_beta 90.16
_cell_angle_gamma 91.92
_symmetry_space_group_name_H-M 'P 1'
_symmetry_Int_Tables_number 1
loop_
_symmetry_equiv_pos_as_xyz
'x,y,z'
loop_
_atom_site_label
_atom_site_type_symbol
_atom_site_fract_x
_atom_site_fract_y
_atom_site_fract_z
Ba1 Ba 0.000 0.000 0.000
Ba2 Ba 0.369 0.990 0.500
Li1 Li 0.386 0.679 0.704
Mn1 Mn 0.010 0.549 0.144
Mn2 Mn 0.391 0.402 0.368
P1 P 0.488 0.305 0.965
P2 P 0.509 0.703 0.035
P3 P 0.878 0.214 0.430
P4 P 0.901 0.626 0.538
O1 O 0.039 0.770 0.686
O2 O 0.053 0.592 0.386
O3 O 0.111 0.180 0.327
O4 O 0.303 0.345 0.105
O5 O 0.316 0.747 0.167
O6 O 0.409 0.129 0.821
O7 O 0.463 0.481 0.915
O8 O 0.467 0.806 0.929
O9 O 0.626 0.667 0.520
O10 O 0.643 0.187 0.326
O11 O 0.757 0.313 0.024
O12 O 0.778 0.732 0.097
O13 O 0.871 0.096 0.526
O14 O 0.891 0.433 0.563
```

# 2
# BaLi2MnV2O8
Calculated X-ray diffraction stick pattern, Cu Ka. Input: a structure optimized by DFT (PBE+U).

Top 12 peaks for 2θ from 10° to 90°, low angle first:
d_spacing, 2theta, I/Imax, hkl
7.403, 11.96, 14, 0 0 1
4.636, 19.14, 45, 1 0 0
3.929, 22.63, 51, 1 0 1
2.892, 30.92, 100, 1 0 2
2.677, 33.48, 65, 1 1 0
2.517, 35.67, 30, 1 1 1
2.169, 41.64, 20, 2 -1 2
1.965, 46.21, 35, 0 2 2
1.584, 58.26, 32, 2 1 2
1.545, 59.85, 22, 3 0 0
1.522, 60.86, 29, 1 1 4
1.215, 78.80, 13, 3 1 2

Crystal structure
```
data_BaLi2MnV2O8
_cell_length_a 5.3531
_cell_length_b 5.3531
_cell_length_c 7.4025
_cell_angle_alpha 90.00
_cell_angle_beta 90.00
_cell_angle_gamma 120.00
_symmetry_space_group_name_H-M 'P -3'
_symmetry_Int_Tables_number 147
loop_
_symmetry_equiv_pos_as_xyz
'x,y,z'
'-x,-y,-z'
'-y,x-y,z'
'y,-x+y,-z'
'-x+y,-x,z'
'x-y,x,-z'
loop_
_atom_site_label
_atom_site_type_symbol
_atom_site_fract_x
_atom_site_fract_y
_atom_site_fract_z
Ba1 Ba 0.0000 0.0000 0.0000
Li1 Li 0.3333 0.6667 0.2608
Mn1 Mn 0.0000 0.0000 0.5000
V1 V 0.3333 0.6667 0.7534
O1 O 0.0361 0.3384 0.6852
O2 O 0.3333 0.6667 0.9864
```

What did the second record say?
# BaLi2MnV2O8
Calculated X-ray diffraction stick pattern, Cu Ka. Input: a structure optimized by DFT (PBE+U).

Top 12 peaks for 2θ from 10° to 90°, low angle first:
d_spacing, 2theta, I/Imax, hkl
7.403, 11.96, 14, 0 0 1
4.636, 19.14, 45, 1 0 0
3.929, 22.63, 51, 1 0 1
2.892, 30.92, 100, 1 0 2
2.677, 33.48, 65, 1 1 0
2.517, 35.67, 30, 1 1 1
2.169, 41.64, 20, 2 -1 2
1.965, 46.21, 35, 0 2 2
1.584, 58.26, 32, 2 1 2
1.545, 59.85, 22, 3 0 0
1.522, 60.86, 29, 1 1 4
1.215, 78.80, 13, 3 1 2

Crystal structure
```
data_BaLi2MnV2O8
_cell_length_a 5.3531
_cell_length_b 5.3531
_cell_length_c 7.4025
_cell_angle_alpha 90.00
_cell_angle_beta 90.00
_cell_angle_gamma 120.00
_symmetry_space_group_name_H-M 'P -3'
_symmetry_Int_Tables_number 147
loop_
_symmetry_equiv_pos_as_xyz
'x,y,z'
'-x,-y,-z'
'-y,x-y,z'
'y,-x+y,-z'
'-x+y,-x,z'
'x-y,x,-z'
loop_
_atom_site_label
_atom_site_type_symbol
_atom_site_fract_x
_atom_site_fract_y
_atom_site_fract_z
Ba1 Ba 0.0000 0.0000 0.0000
Li1 Li 0.3333 0.6667 0.2608
Mn1 Mn 0.0000 0.0000 0.5000
V1 V 0.3333 0.6667 0.7534
O1 O 0.0361 0.3384 0.6852
O2 O 0.3333 0.6667 0.9864
```